Entry 1:
Structure and simulated PXRD pattern of La2Zr2O7 (a DFT-relaxed cell (PBE, the Materials Project); Cu Ka).

Most intense lines, 2θ from 10° to 90°, by angle:
| 2theta | d [Å] | intensity |
| --- | --- | --- |
| 28.14 | 3.171 | 1000 |
| 28.96 | 3.083 | 938 |
| 33.57 | 2.670 | 382 |
| 47.13 | 1.928 | 855 |
| 56.28 | 1.634 | 282 |
| 57.69 | 1.598 | 259 |

Cell and atoms:
```
La2Zr2O7
1.0
7.7105 0.0000 0.0000
0.0000 3.7002 0.0000
0.0000 0.0000 11.1536
La Zr O
4 4 14
Cartesian
0.0000 0.0000 0.0000
1.9276 1.8501 3.0834
3.8553 0.0000 0.0000
5.7829 1.8501 8.0702
0.0000 0.0000 5.5768
1.9276 1.8501 8.2125
3.8553 0.0000 5.5768
5.7829 1.8501 2.9411
0.1979 1.8501 6.8433
0.2735 1.8501 1.4981
1.9276 0.0000 4.4942
1.9276 0.0000 7.0697
1.9276 0.0000 9.6674
3.5817 1.8501 1.4981
3.6574 1.8501 6.8433
4.0532 1.8501 4.3103
4.1288 1.8501 9.6556
5.7829 0.0000 1.4862
5.7829 0.0000 4.0839
5.7829 0.0000 6.6595
7.4370 1.8501 9.6556
7.5126 1.8501 4.3103
```



Entry 2:
Structure and simulated PXRD pattern of AsO2 (a DFT-relaxed cell (PBE, the Materials Project); Cu Ka).

Most intense lines, 2θ from 10° to 90°, by angle:
| 2theta | d [Å] | intensity |
| --- | --- | --- |
| 17.55 | 5.055 | 1000 |
| 21.49 | 4.136 | 444 |
| 24.36 | 3.653 | 700 |
| 25.09 | 3.549 | 785 |
| 28.61 | 3.120 | 890 |
| 42.43 | 2.130 | 300 |

Cell and atoms:
```
AsO2
1.0
12.4248 0.0000 0.0000
0.0000 4.5305 0.0000
-5.1364 0.0000 10.1995
As O
12 24
Cartesian
-0.4032 1.1185 1.8536
-2.9714 1.1468 6.9533
2.9118 2.7320 0.1381
0.3437 4.0638 5.2378
1.4100 0.2536 8.2434
3.9782 2.0117 3.1437
3.3103 2.5188 7.0558
5.8785 4.2769 1.9560
6.9448 0.4667 4.9616
4.3766 1.7985 10.0614
10.2598 3.3837 3.2461
7.6916 3.4120 8.3459
-0.6553 2.8324 2.3718
-3.2235 3.9634 7.4715
-3.8593 3.2885 10.0348
-1.2911 3.5073 4.9351
0.8186 0.8009 4.1619
-1.7495 1.4644 9.2617
0.1127 0.1205 6.8773
2.6809 2.1447 1.7775
1.5046 2.7885 5.1424
4.0728 4.0072 0.0426
1.9736 3.0628 8.1920
4.5418 3.7330 3.0923
2.7467 0.7975 7.1072
5.3149 1.4677 2.0074
3.2156 0.5233 10.1568
5.7838 1.7420 5.0571
4.6076 2.3858 8.4219
7.1757 4.4100 3.3222
9.0380 3.0661 0.9378
6.4698 3.7296 6.0375
8.5796 1.0232 5.2644
11.1477 1.2420 0.1647
10.5119 0.5671 2.7279
7.9437 1.6981 7.8277
```



Entry 3:
Structure and simulated PXRD pattern of Sr5Nb5O16 (a DFT-relaxed cell (PBE, the Materials Project); Cu Ka).

Most intense lines, 2θ from 10° to 90°, by angle:
| 2theta | d [Å] | intensity |
| --- | --- | --- |
| 26.87 | 3.318 | 399 |
| 29.04 | 3.075 | 754 |
| 31.11 | 2.875 | 441 |
| 31.50 | 2.841 | 1000 |
| 44.77 | 2.024 | 371 |
| 55.56 | 1.654 | 406 |

Cell and atoms:
```
Sr5Nb5O16
1.0
4.0484 0.0000 0.0000
0.0000 33.2009 0.0000
0.0000 0.0000 5.7500
Sr Nb O
10 10 32
Cartesian
0.0000 0.9857 0.0000
0.0000 5.4680 3.1380
0.0000 8.3468 0.2939
0.0000 11.3500 3.1120
0.0000 15.5259 0.6071
2.0242 17.6749 3.4821
2.0242 21.8508 0.2370
2.0242 24.8541 3.1689
2.0242 27.7328 0.2630
2.0242 32.2152 2.8750
0.0000 19.0227 0.4360
0.0000 21.8905 3.1692
0.0000 24.8364 0.2902
0.0000 27.8234 3.1090
0.0000 30.6605 0.1229
2.0242 2.5404 2.9979
2.0242 5.3774 0.2340
2.0242 8.3644 3.1652
2.0242 11.3104 0.2942
2.0242 14.1782 3.3110
0.0000 5.5149 0.2918
0.0000 8.3523 3.1624
0.0000 11.1024 0.2468
0.0000 13.9329 3.1587
0.0000 17.5895 4.9245
0.0000 17.9341 1.9526
0.0000 20.4998 4.4588
0.0000 20.8830 1.4676
0.0000 23.2632 4.7771
0.0000 23.6694 1.9479
0.0000 26.1159 4.4324
0.0000 26.4476 1.5707
0.0000 28.8994 4.8363
0.0000 29.2515 1.7511
0.0000 31.8136 4.3801
0.0000 32.0901 1.3843
2.0242 1.1107 4.2593
2.0242 1.3873 1.5051
2.0242 3.9493 4.6261
2.0242 4.3014 1.9613
2.0242 6.7532 4.4457
2.0242 7.0849 1.5574
2.0242 9.5315 4.8229
2.0242 9.9377 1.9021
2.0242 12.3178 4.3426
2.0242 12.7010 1.5838
2.0242 15.2667 4.8276
2.0242 15.6113 2.0495
2.0242 19.2679 0.2837
2.0242 22.0985 3.1218
2.0242 24.8485 0.2874
2.0242 27.6860 3.1668
```



Entry 4:
Structure and simulated PXRD pattern of V3PN (a DFT-relaxed cell (PBE, the Materials Project); Cu Ka).

Most intense lines, 2θ from 10° to 90°, by angle:
| 2theta | d [Å] | intensity |
| --- | --- | --- |
| 38.93 | 2.314 | 1000 |
| 40.23 | 2.241 | 775 |
| 41.12 | 2.195 | 815 |
| 42.13 | 2.145 | 977 |
| 44.78 | 2.024 | 369 |
| 77.31 | 1.234 | 418 |

Cell and atoms:
```
V3PN
1.0
1.5588 -4.8375 0.0000
1.5588 4.8375 0.0000
0.0000 0.0000 7.3898
V P N
6 2 2
Cartesian
1.5588 4.1998 5.5424
1.5588 1.3006 4.0717
1.5588 1.3006 7.0130
1.5588 -1.3006 0.3768
1.5588 -1.3006 3.3181
1.5588 -4.1998 1.8475
1.5588 2.4031 1.8475
1.5588 -2.4031 5.5424
0.0000 0.0000 0.0000
0.0000 0.0000 3.6949
```



Entry 5:
Structure and simulated PXRD pattern of MgC8N6 (a DFT-relaxed cell (PBE, the Materials Project); Cu Ka).

Most intense lines, 2θ from 10° to 90°, by angle:
| 2theta | d [Å] | intensity |
| --- | --- | --- |
| 21.90 | 4.059 | 919 |
| 23.50 | 3.786 | 612 |
| 26.32 | 3.386 | 550 |
| 28.95 | 3.084 | 271 |
| 30.05 | 2.974 | 718 |
| 30.16 | 2.963 | 1000 |

Cell and atoms:
```
MgC8N6
1.0
7.5697 0.0000 0.0000
0.0000 5.3897 0.0000
0.0000 0.0000 10.6404
Mg C N
2 16 12
Cartesian
0.0000 0.0000 0.0000
3.7848 0.0000 5.3202
0.0000 2.1137 2.6609
0.0000 2.2465 7.0203
0.0000 3.1432 3.6200
0.0000 3.2760 7.9794
1.1943 1.6734 6.5620
1.1943 3.7163 4.0783
2.5906 1.6734 9.3985
2.5906 3.7163 1.2418
3.7848 2.1137 2.6592
3.7848 2.2465 8.9402
3.7848 3.1432 1.7001
3.7848 3.2760 7.9811
4.9791 1.6734 9.3985
4.9791 3.7163 1.2418
6.3754 1.6734 6.5620
6.3754 3.7163 4.0783
0.0000 1.2729 1.8455
0.0000 4.1168 8.7949
1.6154 1.1705 9.8042
1.6154 4.2192 0.8362
2.1695 1.1705 6.1563
2.1695 4.2192 4.4840
3.7848 1.2729 3.4747
3.7848 4.1168 7.1656
5.4002 1.1705 6.1563
5.4002 4.2192 4.4840
5.9543 1.1705 9.8042
5.9543 4.2192 0.8362
```



Entry 6:
Structure and simulated PXRD pattern of TiAlAu (a DFT-relaxed cell (PBE, the Materials Project); Cu Ka).

Most intense lines, 2θ from 10° to 90°, by angle:
| 2theta | d [Å] | intensity |
| --- | --- | --- |
| 27.80 | 3.210 | 1000 |
| 38.97 | 2.311 | 484 |
| 40.44 | 2.230 | 635 |
| 49.79 | 1.832 | 212 |
| 51.82 | 1.764 | 275 |
| 66.00 | 1.415 | 184 |

Cell and atoms:
```
TiAlAu
1.0
4.4606 0.0000 0.0000
-2.2303 3.8630 0.0000
0.0000 0.0000 5.7680
Ti Al Au
2 2 2
Cartesian
0.0000 0.0000 0.0000
0.0000 0.0000 2.8840
0.0000 2.5753 1.4420
2.2303 1.2877 4.3260
0.0000 2.5753 4.3260
2.2303 1.2877 1.4420
```